# Dy2YCo2C2N3
Calculated XRD peak list, Cu Kα, 1.54184 Å. Input: a DFT-relaxed cell (PBE, OQMD).

Structural model:
Unit cell a=3.446 b=3.446 c=19.411 alpha=90.00 beta=90.00 gamma=90.00
Space group I4/mmm (No. 139)
Unique sites:
Dy1 0.000 0.000 0.127 [4 per cell]
Y1 0.000 0.000 0.500 [2 per cell]
Co1 0.000 0.500 0.250 [4 per cell]
C1 0.000 0.000 0.306 [4 per cell]
N1 0.000 0.000 0.000 [2 per cell]
N2 0.000 0.000 0.380 [4 per cell]

Main lines, most intense first (2θ = 10–90°):
d [Å]  2θ/deg  Rel. int.  hkl
3.042  29.36  100.0  1 0 3
2.577  34.81  68.9  1 0 5
2.178  41.47  68.8  1 1 4
2.426  37.05  54.6  0 0 8
2.437  36.89  43.6  1 1 0
1.723  53.16  42.7  2 0 0
1.405  66.56  37.2  2 0 8
2.363  38.08  27.6  1 1 2
1.499  61.89  26.6  2 1 3
1.946  46.67  24.7  1 1 6

=====

# GdErCo2Si2C
Calculated XRD peak list, Cu Kα, 1.54184 Å. Input: a DFT-relaxed cell (PBE, OQMD).

Structural model:
Unit cell a=10.551 b=3.872 c=6.787 alpha=90.00 beta=129.58 gamma=90.00
Space group Cm (No. 8)
Unique sites:
Gd1 0.000 0.000 0.000 [2 per cell]
Er1 0.373 0.500 0.407 [2 per cell]
Co1 0.135 0.500 0.790 [2 per cell]
Co2 0.237 0.000 0.614 [2 per cell]
Si1 0.092 0.500 0.407 [2 per cell]
Si2 0.280 0.000 0.000 [2 per cell]
C1 0.436 0.000 0.701 [2 per cell]

Main lines, most intense first (2θ = 10–90°):
d [Å]  2θ/deg  Rel. int.  hkl
2.439  36.85  100.0  1 1 -2
2.587  34.68  76.3  3 1 -1
3.496  25.48  57.4  1 1 0
2.596  34.55  46.6  4 0 -2
1.936  46.93  32.4  0 2 0
2.524  35.57  31.9  2 0 1
3.394  26.26  31.9  2 0 -2
2.510  35.77  30.7  4 0 -1
2.221  40.63  26.6  3 1 0
2.175  41.52  25.5  4 0 -3

=====

# ErLuCo2Ge2C
Calculated XRD peak list, Cu Kα, 1.54184 Å. Input: a DFT-relaxed cell (PBE, OQMD).

Structural model:
Unit cell a=10.623 b=3.869 c=6.739 alpha=90.00 beta=127.97 gamma=90.00
Space group Cm (No. 8)
Unique sites:
Er1 0.000 0.000 0.000 [2 per cell]
Lu1 0.118 0.000 0.580 [2 per cell]
Co1 0.253 0.500 0.375 [2 per cell]
Co2 0.367 0.000 0.208 [2 per cell]
Ge1 0.218 0.500 0.986 [2 per cell]
Ge2 0.400 0.000 0.594 [2 per cell]
C1 0.061 0.500 0.294 [2 per cell]

Main lines, most intense first (2θ = 10–90°):
d [Å]  2θ/deg  Rel. int.  hkl
2.444  36.78  100.0  1 1 -2
2.603  34.46  74.4  3 1 -1
2.264  39.82  54.2  3 1 0
2.557  35.09  43.6  4 0 -1
2.634  34.04  41.3  1 1 1
1.934  46.97  41.1  0 2 0
2.419  37.17  40.1  3 1 -2
3.512  25.36  35.0  1 1 0
2.156  41.90  34.4  4 0 -3
1.439  64.76  32.0  4 2 -3

=====

# TbErCo2Ge2C
Calculated XRD peak list, Cu Kα, 1.54184 Å. Input: a DFT-relaxed cell (PBE, OQMD).

Structural model:
Unit cell a=10.712 b=3.913 c=6.827 alpha=90.00 beta=128.33 gamma=90.00
Space group Cm (No. 8)
Unique sites:
Tb1 0.000 0.000 0.000 [2 per cell]
Er1 0.382 0.500 0.417 [2 per cell]
Co1 0.132 0.500 0.789 [2 per cell]
Co2 0.248 0.000 0.625 [2 per cell]
Ge1 0.102 0.500 0.409 [2 per cell]
Ge2 0.279 0.000 0.008 [2 per cell]
C1 0.439 0.000 0.703 [2 per cell]

Main lines, most intense first (2θ = 10–90°):
d [Å]  2θ/deg  Rel. int.  hkl
2.471  36.36  100.0  1 1 -2
2.625  34.15  78.9  3 1 -1
2.278  39.57  57.3  3 1 0
2.655  33.76  45.3  1 1 1
2.572  34.89  43.7  4 0 -1
1.957  46.40  43.2  0 2 0
2.448  36.71  42.1  3 1 -2
2.184  41.34  35.7  4 0 -3
3.548  25.10  32.7  1 1 0
2.678  33.47  31.5  0 0 2

=====

# ErCoC6N6
Calculated XRD peak list, Cu Kα, 1.54184 Å. Input: a DFT-relaxed cell (PBE, OQMD).

Structural model:
Unit cell a=7.3227 b=7.3227 c=12.9222 alpha=90.00 beta=90.00 gamma=120.00
Space group P6_3/mmc (No. 194)
Unique sites:
Er1 0.3333 0.6667 0.2500 [2 per cell]
Co1 0.0000 0.0000 0.0000 [2 per cell]
C1 0.1187 0.2375 0.0834 [12 per cell]
N1 0.1927 0.3855 0.1374 [12 per cell]

Main lines, most intense first (2θ = 10–90°):
d [Å]  2θ/deg  Rel. int.  hkl
5.693  15.57  100.0  1 0 1
4.526  19.61  51.9  1 0 2
2.422  37.11  23.2  1 1 4
3.661  24.31  22.3  1 1 0
2.554  35.14  20.1  2 0 3
2.357  38.19  17.9  2 1 1
3.563  24.99  13.8  1 0 3
2.847  31.43  11.8  2 0 2
1.769  51.68  10.2  3 0 4
2.247  40.13  9.9  2 1 2

=====

# Er2TmCo2C2N3
Calculated XRD peak list, Cu Kα, 1.54184 Å. Input: a DFT-relaxed cell (PBE, OQMD).

Structural model:
Unit cell a=3.409 b=3.409 c=19.224 alpha=90.00 beta=90.00 gamma=90.00
Space group I4/mmm (No. 139)
Unique sites:
Er1 0.000 0.000 0.126 [4 per cell]
Tm1 0.000 0.000 0.500 [2 per cell]
Co1 0.000 0.500 0.250 [4 per cell]
C1 0.000 0.000 0.307 [4 per cell]
N1 0.000 0.000 0.000 [2 per cell]
N2 0.000 0.000 0.381 [4 per cell]

Main lines, most intense first (2θ = 10–90°):
d [Å]  2θ/deg  Rel. int.  hkl
3.009  29.69  100.0  1 0 3
2.551  35.19  72.1  1 0 5
1.703  53.82  57.5  2 0 0
2.403  37.42  44.1  0 0 8
2.410  37.31  40.9  1 1 0
2.338  38.51  32.6  1 1 2
1.390  67.36  30.4  2 0 8
2.154  41.93  27.3  1 1 4
1.483  62.64  26.5  2 1 3
1.417  65.92  24.0  2 1 5

=====

# Y2ErCo2C2N3
Calculated XRD peak list, Cu Kα, 1.54184 Å. Input: a DFT-relaxed cell (PBE, OQMD).

Structural model:
Unit cell a=3.440 b=3.440 c=19.337 alpha=90.00 beta=90.00 gamma=90.00
Space group I4/mmm (No. 139)
Unique sites:
Y1 0.000 0.000 0.127 [4 per cell]
Er1 0.000 0.000 0.500 [2 per cell]
Co1 0.000 0.500 0.250 [4 per cell]
C1 0.000 0.000 0.307 [4 per cell]
N1 0.000 0.000 0.000 [2 per cell]
N2 0.000 0.000 0.380 [4 per cell]

Main lines, most intense first (2θ = 10–90°):
d [Å]  2θ/deg  Rel. int.  hkl
3.035  29.43  100.0  1 0 3
2.570  34.90  77.9  1 0 5
2.359  38.15  67.5  1 1 2
2.417  37.20  53.1  0 0 8
1.942  46.79  46.3  1 1 6
1.720  53.25  41.9  2 0 0
2.433  36.95  36.1  1 1 0
1.401  66.74  35.7  2 0 8
1.497  62.01  26.6  2 1 3
1.430  65.27  25.6  2 1 5

=====

Copy entry 7 word for word.
# Y2ErCo2C2N3
Calculated XRD peak list, Cu Kα, 1.54184 Å. Input: a DFT-relaxed cell (PBE, OQMD).

Structural model:
Unit cell a=3.440 b=3.440 c=19.337 alpha=90.00 beta=90.00 gamma=90.00
Space group I4/mmm (No. 139)
Unique sites:
Y1 0.000 0.000 0.127 [4 per cell]
Er1 0.000 0.000 0.500 [2 per cell]
Co1 0.000 0.500 0.250 [4 per cell]
C1 0.000 0.000 0.307 [4 per cell]
N1 0.000 0.000 0.000 [2 per cell]
N2 0.000 0.000 0.380 [4 per cell]

Main lines, most intense first (2θ = 10–90°):
d [Å]  2θ/deg  Rel. int.  hkl
3.035  29.43  100.0  1 0 3
2.570  34.90  77.9  1 0 5
2.359  38.15  67.5  1 1 2
2.417  37.20  53.1  0 0 8
1.942  46.79  46.3  1 1 6
1.720  53.25  41.9  2 0 0
2.433  36.95  36.1  1 1 0
1.401  66.74  35.7  2 0 8
1.497  62.01  26.6  2 1 3
1.430  65.27  25.6  2 1 5